Theoretical X-ray diffraction stick pattern
Compound: Fe3Se
Radiation: Cu Kα
Structure: a structure optimized by DFT (PBE)
Kinematic intensities with the Lorentz-polarization factor, no thermal factor.

Structural model:
Unit cell a=5.320 b=5.320 c=4.315 alpha=90.00 beta=90.00 gamma=120.00
Element x y z (fractional)
Fe 0.156 0.311 0.250
Fe 0.156 0.844 0.250
Fe 0.311 0.156 0.750
Fe 0.689 0.844 0.250
Fe 0.844 0.156 0.750
Fe 0.844 0.689 0.750
Se 0.333 0.667 0.750
Se 0.667 0.333 0.250

Main lines, by angle (2θ = 10–90°):
| h k l | 2theta | I (rel.) |
| --- | --- | --- |
| 1 0 1 | 28.34 | 5 |
| 2 0 0 | 39.10 | 25 |
| 0 0 2 | 41.87 | 28 |
| 2 0 1 | 44.58 | 100 |
| 2 0 2 | 58.62 | 14 |
| 2 2 0 | 70.84 | 14 |
| 2 0 3 | 78.37 | 17 |
| 4 0 0 | 84.02 | 2 |
| 2 2 2 | 85.82 | 17 |
| 4 0 1 | 87.69 | 12 |

***

Theoretical X-ray diffraction stick pattern
Compound: FeSn10Se10
Radiation: Cu Kα
Structure: a structure optimized by DFT (PBE)
Kinematic intensities with the Lorentz-polarization factor, no thermal factor.

Structural model:
Unit cell a=11.819 b=11.857 c=8.487 alpha=90.00 beta=90.00 gamma=90.00
Element x y z (fractional)
Fe 0.000 0.000 0.000
Fe 0.500 0.500 0.000
Sn 0.000 0.500 0.240
Sn 0.000 0.500 0.760
Sn 0.094 0.117 0.240
Sn 0.094 0.117 0.760
Sn 0.171 0.863 0.000
Sn 0.185 0.766 0.500
Sn 0.315 0.266 0.500
Sn 0.329 0.363 0.000
Sn 0.406 0.617 0.240
Sn 0.406 0.617 0.760
Sn 0.500 0.000 0.240
Sn 0.500 0.000 0.760
Sn 0.594 0.383 0.240
Sn 0.594 0.383 0.760
Sn 0.671 0.637 0.000
Sn 0.685 0.734 0.500
Sn 0.815 0.234 0.500
Sn 0.829 0.137 0.000
Sn 0.906 0.883 0.240
Sn 0.906 0.883 0.760
Se 0.053 0.271 0.500
Se 0.098 0.365 0.000
Se 0.182 0.678 0.193
Se 0.182 0.678 0.807
Se 0.186 0.002 0.500
Se 0.314 0.502 0.500
Se 0.318 0.178 0.193
Se 0.318 0.178 0.807
Se 0.402 0.865 0.000
Se 0.447 0.771 0.500
Se 0.553 0.229 0.500
Se 0.598 0.135 0.000
Se 0.682 0.822 0.193
Se 0.682 0.822 0.807
Se 0.686 0.498 0.500
Se 0.814 0.998 0.500
Se 0.818 0.322 0.193
Se 0.818 0.322 0.807
Se 0.902 0.635 0.000
Se 0.947 0.729 0.500

Main lines, by angle (2θ = 10–90°):
| h k l | 2theta | I (rel.) |
| --- | --- | --- |
| 3 1 0 | 23.76 | 30 |
| 2 0 2 | 25.83 | 25 |
| 1 2 2 | 26.92 | 100 |
| 4 1 0 | 31.19 | 64 |
| 1 3 2 | 31.85 | 27 |
| 0 4 1 | 31.99 | 43 |
| 3 2 2 | 34.55 | 33 |
| 0 0 4 | 42.61 | 33 |
| 1 5 2 | 44.43 | 21 |
| 5 1 2 | 44.54 | 50 |

***

Question: Number 2 is which compound?
Answer: FeSn10Se10